Structure and computed powder X-ray diffraction pattern of Nb5Si2Sb (DFT lattice parameters and positions (GGA-PBE); Cu Kα X-rays).

Cell and atoms:
```
16
Lattice="-3.382 3.382 6.072 3.382 -3.382 6.072 3.382 3.382 -6.072" Properties=species:S:1:pos:R:3 pbc="T T T"
Nb 0.000 0.000 0.000
Nb 4.475 1.092 -1.728
Nb 1.092 2.290 -1.728
Nb 4.475 1.092 1.728
Nb 1.092 2.290 1.728
Nb 0.000 0.000 6.072
Nb 2.290 1.092 4.344
Nb -1.092 2.290 4.344
Nb 2.290 1.092 7.799
Nb -1.092 2.290 7.799
Si 2.493 0.890 0.000
Si 2.493 -0.890 6.072
Si 0.890 4.272 0.000
Si 0.890 2.493 6.072
Sb 0.000 0.000 3.036
Sb 0.000 0.000 9.107
```

Top 6 peaks for 10 to 80 degrees two-theta, most intense first:
d 2.423, intensity 100
d 2.139, intensity 75
d 2.259, intensity 59
d 2.563, intensity 53
d 2.936, intensity 37
d 1.412, intensity 26

=====

Structure and computed powder X-ray diffraction pattern of Ti4NbSb2 (DFT lattice parameters and positions (GGA-PBE); Cu Kα X-rays).

Cell and atoms:
```
14
Lattice="7.348 0.000 0.000 0.000 5.396 0.000 -3.093 0.000 6.815" Properties=species:S:1:pos:R:3 pbc="T T T"
Ti 0.040 1.349 0.612
Ti -0.563 0.003 5.995
Ti -0.563 2.695 5.995
Ti 2.158 4.047 1.670
Ti 2.097 1.349 5.145
Ti 4.817 5.393 0.820
Ti 4.817 2.700 0.820
Ti 4.214 4.047 6.203
Nb -0.170 1.349 3.235
Nb 4.424 4.047 3.579
Sb -0.493 4.047 2.164
Sb 2.575 1.349 1.933
Sb 1.680 4.047 4.882
Sb 4.748 1.349 4.651
```

Top 6 peaks for 10 to 80 degrees two-theta, most intense first:
d 2.438, intensity 100
d 3.222, intensity 90
d 2.698, intensity 81
d 2.363, intensity 76
d 2.395, intensity 73
d 2.258, intensity 55

=====

Structure and computed powder X-ray diffraction pattern of Ti5Nb2Sb (DFT lattice parameters and positions (GGA-PBE); Cu Kα X-rays).

Cell and atoms:
```
16
Lattice="-3.516 3.516 5.888 3.516 -3.516 5.888 3.516 3.516 -5.888" Properties=species:S:1:pos:R:3 pbc="T T T"
Ti 0.000 0.000 0.000
Ti 2.488 -1.027 1.877
Ti 4.543 -1.027 4.011
Ti 4.543 1.027 1.877
Ti 2.488 1.027 4.011
Ti 0.000 0.000 5.888
Ti 1.027 2.488 1.877
Ti -1.027 2.488 4.011
Ti -1.027 4.543 1.877
Ti 1.027 4.543 4.011
Nb 2.395 1.121 0.000
Nb 2.395 -1.121 5.888
Nb 1.121 4.636 0.000
Nb 1.121 2.395 5.888
Sb 0.000 0.000 2.944
Sb 0.000 0.000 8.832
```

Top 6 peaks for 10 to 80 degrees two-theta, most intense first:
d 2.454, intensity 100
d 2.224, intensity 63
d 3.019, intensity 18
d 3.799, intensity 18
d 1.774, intensity 18
d 2.533, intensity 16

=====

Structure and computed powder X-ray diffraction pattern of TiNbSb (DFT lattice parameters and positions (GGA-PBE); Cu Kα X-rays).

Cell and atoms:
```
6
Lattice="3.549 0.000 0.000 0.000 3.549 0.000 0.000 0.000 8.935" Properties=species:S:1:pos:R:3 pbc="T T T"
Ti 0.000 0.000 0.000
Ti 1.775 1.775 4.467
Nb 0.000 0.000 3.039
Nb 1.775 1.775 7.506
Sb 0.000 0.000 5.989
Sb 1.775 1.775 1.522
```

Top 6 peaks for 10 to 80 degrees two-theta, most intense first:
d 2.281, intensity 100
d 2.510, intensity 66
d 1.401, intensity 40
d 1.775, intensity 23
d 3.298, intensity 17
d 1.281, intensity 15

=====

Structure and computed powder X-ray diffraction pattern of Y2NbSb2 (DFT lattice parameters and positions (GGA-PBE); Cu Kα X-rays).

Cell and atoms:
```
10
Lattice="7.531 0.000 0.000 0.000 7.531 0.000 0.000 0.000 4.399" Properties=species:S:1:pos:R:3 pbc="T T T"
Y 1.265 2.500 0.000
Y 2.500 6.266 0.000
Y 5.031 1.265 0.000
Y 6.266 5.031 0.000
Nb 0.000 0.000 2.199
Nb 3.766 3.766 2.199
Sb 1.075 4.841 2.199
Sb 2.690 1.075 2.199
Sb 4.841 6.456 2.199
Sb 6.456 2.690 2.199
```

Top 6 peaks for 10 to 80 degrees two-theta, most intense first:
d 2.674, intensity 100
d 2.382, intensity 36
d 1.616, intensity 21
d 2.199, intensity 19
d 1.333, intensity 17
d 1.687, intensity 12

=====

Structure and computed powder X-ray diffraction pattern of ScNb (DFT lattice parameters and positions (GGA-PBE); Cu Kα X-rays).

Cell and atoms:
```
8
Lattice="10.760 0.000 0.000 0.000 3.464 0.000 -2.389 0.000 4.479" Properties=species:S:1:pos:R:3 pbc="T T T"
Sc 0.333 0.000 1.617
Sc 2.657 1.732 2.863
Sc 5.713 1.732 1.617
Sc 8.037 0.000 2.863
Nb -0.539 1.732 4.027
Nb 3.529 0.000 0.452
Nb 4.841 0.000 4.027
Nb 8.909 1.732 0.452
```

Top 6 peaks for 10 to 80 degrees two-theta, most intense first:
d 2.451, intensity 100
d 4.477, intensity 31
d 2.538, intensity 30
d 1.733, intensity 22
d 2.373, intensity 18
d 1.448, intensity 18

=====

Structure and computed powder X-ray diffraction pattern of ScNb (DFT lattice parameters and positions (GGA-PBE); Cu Kα X-rays).

Cell and atoms:
```
12
Lattice="5.067 0.000 0.000 -2.534 4.388 0.000 0.000 0.000 11.029" Properties=species:S:1:pos:R:3 pbc="T T T"
Sc 0.000 0.000 1.486
Sc 0.000 0.000 9.543
Sc 0.000 2.926 5.867
Sc 0.000 2.926 8.839
Sc 2.534 1.463 2.190
Sc 2.534 1.463 5.162
Nb 0.000 0.000 4.243
Nb 0.000 0.000 6.786
Nb 0.000 2.926 0.567
Nb 0.000 2.926 3.110
Nb 2.534 1.463 7.919
Nb 2.534 1.463 10.462
```

Top 6 peaks for 10 to 80 degrees two-theta, most intense first:
d 2.534, intensity 100
d 2.335, intensity 74
d 4.078, intensity 31
d 1.421, intensity 28
d 1.717, intensity 28
d 1.463, intensity 17

=====

Structure and computed powder X-ray diffraction pattern of SrSc2Nb (DFT lattice parameters and positions (GGA-PBE); Cu Kα X-rays).

Cell and atoms:
```
12
Lattice="3.249 0.000 0.000 -1.625 2.814 0.000 0.000 0.000 34.647" Properties=species:S:1:pos:R:3 pbc="T T T"
Sr 0.000 0.000 0.000
Sr 0.000 1.876 23.098
Sr 1.625 0.938 11.549
Sc 0.000 0.000 14.643
Sc 0.000 0.000 20.004
Sc 0.000 1.876 3.094
Sc 0.000 1.876 8.455
Sc 1.625 0.938 26.192
Sc 1.625 0.938 31.553
Nb 0.000 0.000 17.323
Nb 0.000 1.876 5.774
Nb 1.625 0.938 28.872
```

Top 6 peaks for 10 to 80 degrees two-theta, most intense first:
d 2.778, intensity 100
d 2.887, intensity 47
d 2.676, intensity 37
d 1.858, intensity 37
d 2.184, intensity 35
d 5.774, intensity 32